Starting from the GGA-PBE geometry in OQMD, the XRD peak list of Te2Pd2PbF2 was calculated for copper Kα.
Intensities are scaled so that the largest is 100.

Cell and atoms:
```
data_Te2Pd2PbF2
_chemical_formula_sum 'Te2 Pd2 Pb1 F2'
_space_group_name_H-M_alt 'P -4 m 2'
_space_group_IT_number 115
_space_group_name_Hall 'P -4 -2'
_cell_length_a 3.737
_cell_length_b 3.737
_cell_length_c 9.955
_cell_angle_alpha 90.00
_cell_angle_beta 90.00
_cell_angle_gamma 90.00
loop_
_atom_site_label
_atom_site_type_symbol
_atom_site_fract_x
_atom_site_fract_y
_atom_site_fract_z
_atom_site_occupancy
Te1 Te 0.000 0.500 0.245 1
Pd1 Pd 0.000 0.500 0.842 1
Pb1 Pb 0.000 0.000 0.500 1
F1 F 0.000 0.000 0.000 1
F2 F 0.500 0.500 0.000 1
```

Largest 10 diffraction maxima, by angle, 2θ = 5–70°:
| 2θ (°) | Rel. int. | (hkl) |
| --- | --- | --- |
| 23.81 | 21 | 1 0 0 |
| 25.46 | 40 | 1 0 1 |
| 26.87 | 31 | 0 0 3 |
| 29.90 | 45 | 1 0 2 |
| 35.14 | 33 | 1 1 1 |
| 36.20 | 43 | 1 0 3 |
| 38.57 | 100 | 1 1 2 |
| 48.73 | 38 | 2 0 0 |
| 52.04 | 31 | 1 0 5 |
| 62.17 | 26 | 2 1 3 |

***

Starting from the GGA-PBE geometry in OQMD, the XRD peak list of Re5Mo was calculated for copper Kα.
Intensities are scaled so that the largest is 100.

Cell and atoms:
```
data_Re5Mo
_chemical_formula_sum 'Re10 Mo2'
_space_group_name_H-M_alt 'P 63 2 2'
_space_group_IT_number 182
_space_group_name_Hall 'P 6c 2c'
_cell_length_a 4.8161
_cell_length_b 4.8161
_cell_length_c 8.9797
_cell_angle_alpha 90.00
_cell_angle_beta 90.00
_cell_angle_gamma 120.00
loop_
_atom_site_label
_atom_site_type_symbol
_atom_site_fract_x
_atom_site_fract_y
_atom_site_fract_z
_atom_site_occupancy
Re1 Re 0.0000 0.0000 0.2500 1
Re2 Re 0.0000 0.3321 0.0000 1
Re3 Re 0.3333 0.6667 0.2500 1
Mo1 Mo 0.3333 0.6667 0.7500 1
```

Largest 10 diffraction maxima, by angle, 2θ = 5–70°:
| 2θ (°) | Rel. int. | (hkl) |
| --- | --- | --- |
| 19.77 | 1 | 0 0 2 |
| 23.52 | 5 | 1 0 1 |
| 37.34 | 5 | 1 1 0 |
| 38.71 | 54 | 1 1 1 |
| 40.17 | 37 | 0 0 4 |
| 42.60 | 100 | 1 1 2 |
| 48.52 | 29 | 1 1 3 |
| 56.00 | 3 | 1 1 4 |
| 64.75 | 12 | 1 1 5 |
| 67.35 | 24 | 3 0 0 |

***

Starting from the GGA-PBE geometry in OQMD, the XRD peak list of NaNdHgS3 was calculated for copper Kα.
Intensities are scaled so that the largest is 100.

Cell and atoms:
```
data_NaNdHgS3
_chemical_formula_sum 'Na4 Nd4 Hg4 S12'
_space_group_name_H-M_alt 'P n m a'
_space_group_IT_number 62
_space_group_name_Hall '-P 2ac 2n'
_cell_length_a 14.461
_cell_length_b 4.139
_cell_length_c 11.363
_cell_angle_alpha 90.00
_cell_angle_beta 90.00
_cell_angle_gamma 90.00
loop_
_atom_site_label
_atom_site_type_symbol
_atom_site_fract_x
_atom_site_fract_y
_atom_site_fract_z
_atom_site_occupancy
Na1 Na 0.210 0.250 0.194 1
Nd1 Nd 0.041 0.750 0.852 1
Hg1 Hg 0.048 0.250 0.603 1
S1 S 0.066 0.250 0.373 1
S2 S 0.086 0.750 0.089 1
S3 S 0.164 0.250 0.769 1
```

Largest 10 diffraction maxima, by angle, 2θ = 5–70°:
| 2θ (°) | Rel. int. | (hkl) |
| --- | --- | --- |
| 9.90 | 12 | 1 0 1 |
| 12.24 | 100 | 2 0 0 |
| 14.52 | 19 | 2 0 1 |
| 27.36 | 49 | 1 1 2 |
| 29.51 | 36 | 3 1 1 |
| 31.49 | 13 | 0 0 4 |
| 32.58 | 21 | 3 1 2 |
| 33.90 | 20 | 2 0 4 |
| 37.19 | 12 | 3 1 3 |
| 38.80 | 22 | 5 1 1 |

***

Starting from the GGA-PBE geometry in OQMD, the XRD peak list of NdGdNi2As2 was calculated for copper Kα.
Intensities are scaled so that the largest is 100.

Cell and atoms:
```
data_NdGdNi2As2
_chemical_formula_sum 'Nd1 Gd1 Ni2 As2'
_space_group_name_H-M_alt 'P -3 m 1'
_space_group_IT_number 164
_space_group_name_Hall '-P 3 2"'
_cell_length_a 4.1105
_cell_length_b 4.1105
_cell_length_c 7.9673
_cell_angle_alpha 90.00
_cell_angle_beta 90.00
_cell_angle_gamma 120.00
loop_
_atom_site_label
_atom_site_type_symbol
_atom_site_fract_x
_atom_site_fract_y
_atom_site_fract_z
_atom_site_occupancy
Nd1 Nd 0.0000 0.0000 0.0000 1
Gd1 Gd 0.0000 0.0000 0.5000 1
Ni1 Ni 0.3333 0.6667 0.2545 1
As1 As 0.3333 0.6667 0.7430 1
```

Largest 9 diffraction maxima, by angle, 2θ = 5–70°:
| 2θ (°) | Rel. int. | (hkl) |
| --- | --- | --- |
| 25.01 | 13 | 1 0 0 |
| 33.77 | 100 | 0 1 2 |
| 44.06 | 41 | 1 1 0 |
| 45.54 | 13 | 0 0 4 |
| 51.33 | 2 | 2 0 0 |
| 52.66 | 4 | 1 0 4 |
| 56.64 | 22 | 2 0 2 |
| 65.23 | 25 | 1 1 4 |
| 69.92 | 2 | 2 1 0 |

***

Starting from the GGA-PBE geometry in OQMD, the XRD peak list of La2SmNi6Pt3 was calculated for copper Kα.
Intensities are scaled so that the largest is 100.

Cell and atoms:
```
data_La2SmNi6Pt3
_chemical_formula_sum 'La6 Sm3 Ni18 Pt9'
_space_group_name_H-M_alt 'R -3 m'
_space_group_IT_number 166
_space_group_name_Hall '-R 3 2"'
_cell_length_a 5.1537
_cell_length_b 5.1537
_cell_length_c 25.8250
_cell_angle_alpha 90.00
_cell_angle_beta 90.00
_cell_angle_gamma 120.00
loop_
_atom_site_label
_atom_site_type_symbol
_atom_site_fract_x
_atom_site_fract_y
_atom_site_fract_z
_atom_site_occupancy
La1 La 0.0000 0.0000 0.1376 1
Sm1 Sm 0.0000 0.0000 0.0000 1
Ni1 Ni 0.0029 0.5014 0.9176 1
Pt1 Pt 0.0000 0.0000 0.3326 1
Pt2 Pt 0.0000 0.0000 0.5000 1
```

Largest 10 diffraction maxima, by angle, 2θ = 5–70°:
| 2θ (°) | Rel. int. | (hkl) |
| --- | --- | --- |
| 20.64 | 20 | 0 0 6 |
| 34.28 | 16 | 0 1 8 |
| 34.82 | 61 | 1 1 0 |
| 40.81 | 100 | 1 1 6 |
| 41.98 | 15 | 0 0 12 |
| 43.56 | 17 | 0 1 11 |
| 44.21 | 19 | 2 0 5 |
| 47.42 | 9 | 1 1 9 |
| 62.42 | 12 | 3 0 0 |
| 66.50 | 24 | 3 0 6 |

***

Starting from the GGA-PBE geometry in OQMD, the XRD peak list of GdDy2Mg4Tl2 was calculated for copper Kα.
Intensities are scaled so that the largest is 100.

Cell and atoms:
```
data_GdDy2Mg4Tl2
_chemical_formula_sum 'Gd2 Dy4 Mg8 Tl4'
_space_group_name_H-M_alt 'A m m 2'
_space_group_IT_number 38
_space_group_name_Hall 'A 2 -2'
_cell_length_a 4.647
_cell_length_b 13.188
_cell_length_c 7.587
_cell_angle_alpha 90.00
_cell_angle_beta 90.00
_cell_angle_gamma 90.00
loop_
_atom_site_label
_atom_site_type_symbol
_atom_site_fract_x
_atom_site_fract_y
_atom_site_fract_z
_atom_site_occupancy
Gd1 Gd 0.000 0.000 0.000 1
Dy1 Dy 0.000 0.217 0.348 1
Mg1 Mg 0.000 0.000 0.564 1
Mg2 Mg 0.500 0.000 0.322 1
Mg3 Mg 0.500 0.121 0.686 1
Tl1 Tl 0.500 0.167 0.066 1
```

Largest 10 diffraction maxima, by angle, 2θ = 5–70°:
| 2θ (°) | Rel. int. | (hkl) |
| --- | --- | --- |
| 13.45 | 69 | 0 2 0 |
| 23.41 | 24 | 0 3 1 |
| 30.39 | 100 | 1 0 2 |
| 33.36 | 83 | 1 2 2 |
| 36.07 | 18 | 0 5 1 |
| 38.76 | 23 | 2 0 0 |
| 41.20 | 23 | 0 3 3 |
| 53.94 | 16 | 2 5 1 |
| 54.03 | 16 | 2 4 2 |
| 65.00 | 23 | 3 3 1 |

***

Starting from the GGA-PBE geometry in OQMD, the XRD peak list of Mg3Sc2CdAu2 was calculated for copper Kα.
Intensities are scaled so that the largest is 100.

Cell and atoms:
```
data_Mg3Sc2CdAu2
_chemical_formula_sum 'Mg3 Sc2 Cd1 Au2'
_space_group_name_H-M_alt 'P -4 m 2'
_space_group_IT_number 115
_space_group_name_Hall 'P -4 -2'
_cell_length_a 4.805
_cell_length_b 4.805
_cell_length_c 6.792
_cell_angle_alpha 90.00
_cell_angle_beta 90.00
_cell_angle_gamma 90.00
loop_
_atom_site_label
_atom_site_type_symbol
_atom_site_fract_x
_atom_site_fract_y
_atom_site_fract_z
_atom_site_occupancy
Mg1 Mg 0.000 0.000 0.000 1
Mg2 Mg 0.000 0.500 0.749 1
Sc1 Sc 0.000 0.500 0.253 1
Cd1 Cd 0.500 0.500 0.500 1
Au1 Au 0.000 0.000 0.500 1
Au2 Au 0.500 0.500 0.000 1
```

Largest 10 diffraction maxima, by angle, 2θ = 5–70°:
| 2θ (°) | Rel. int. | (hkl) |
| --- | --- | --- |
| 13.04 | 4 | 0 0 1 |
| 22.67 | 34 | 1 0 1 |
| 26.23 | 42 | 1 1 0 |
| 37.44 | 100 | 2 0 0 |
| 44.21 | 19 | 2 1 1 |
| 46.29 | 13 | 2 0 2 |
| 53.99 | 17 | 2 2 0 |
| 59.29 | 8 | 3 0 1 |
| 60.99 | 17 | 3 1 0 |
| 67.55 | 34 | 3 1 2 |

***

Starting from the GGA-PBE geometry in OQMD, the XRD peak list of TaCuAsOs was calculated for copper Kα.
Intensities are scaled so that the largest is 100.

Cell and atoms:
```
data_TaCuAsOs
_chemical_formula_sum 'Ta4 Cu4 As4 Os4'
_space_group_name_H-M_alt 'F -4 3 m'
_space_group_IT_number 216
_space_group_name_Hall 'F -4 2 3'
_cell_length_a 6.268
_cell_length_b 6.268
_cell_length_c 6.268
_cell_angle_alpha 90.00
_cell_angle_beta 90.00
_cell_angle_gamma 90.00
loop_
_atom_site_label
_atom_site_type_symbol
_atom_site_fract_x
_atom_site_fract_y
_atom_site_fract_z
_atom_site_occupancy
Ta1 Ta 0.000 0.000 0.000 1
Cu1 Cu 0.000 0.000 0.500 1
As1 As 0.250 0.250 0.250 1
Os1 Os 0.250 0.250 0.750 1
```

Largest 5 diffraction maxima, by angle, 2θ = 5–70°:
| 2θ (°) | Rel. int. | (hkl) |
| --- | --- | --- |
| 24.60 | 22 | 1 1 1 |
| 40.72 | 100 | 2 2 0 |
| 48.15 | 12 | 3 1 1 |
| 58.94 | 17 | 4 0 0 |
| 64.84 | 5 | 3 3 1 |

***

> Number 6 is which compound?

GdDy2Mg4Tl2